Starting from a crystal structure in the Materials Project, relaxed with GGA-PBE, the PXRD pattern of SbC2O5 was calculated for λ = 1.5418 Å (Cu Kα).
Lines closer than 0.1° are merged.

Most intense lines, 2θ from 10° to 80°, most intense first:
| two_theta | Rel. int. |
| --- | --- |
| 22.5 | 100.0 |
| 15.8 | 46.1 |
| 32.0 | 41.1 |
| 32.8 | 39.2 |
| 21.1 | 28.0 |
| 45.8 | 27.9 |
| 16.3 | 26.6 |
| 31.9 | 19.0 |
| 28.8 | 16.5 |
| 39.6 | 16.3 |
| 52.6 | 11.4 |
| 27.8 | 11.2 |

Cell and atoms:
```
SbC2O5
1.0
5.7410 0.0000 0.0000
0.0000 11.2287 0.0000
0.0000 0.0000 6.1966
Sb C O
4 8 20
direct
0.1926 0.2500 0.0602
0.3074 0.7500 0.5602
0.6926 0.2500 0.4398
0.8074 0.7500 0.9398
0.1078 0.5235 0.0626
0.1078 0.9765 0.0626
0.3922 0.0235 0.5626
0.3922 0.4765 0.5626
0.6078 0.5235 0.4374
0.6078 0.9765 0.4374
0.8922 0.0235 0.9374
0.8922 0.4765 0.9374
0.0182 0.2500 0.3276
0.1110 0.6322 0.1128
0.1110 0.8678 0.1128
0.2329 0.5507 0.6055
0.2329 0.9493 0.6055
0.2671 0.0507 0.1055
0.2671 0.4493 0.1055
0.3890 0.1322 0.6128
0.3890 0.3678 0.6128
0.4818 0.7500 0.8276
0.5182 0.2500 0.1724
0.6110 0.6322 0.3872
0.6110 0.8678 0.3872
0.7329 0.5507 0.8945
0.7329 0.9493 0.8945
0.7671 0.0507 0.3945
0.7671 0.4493 0.3945
0.8890 0.1322 0.8872
0.8890 0.3678 0.8872
0.9818 0.7500 0.6724
```

***

Starting from a crystal structure in the Materials Project, relaxed with GGA-PBE, the PXRD pattern of Sc2CO was calculated for λ = 1.5418 Å (Cu Kα).
Lines closer than 0.1° are merged.

Most intense lines, 2θ from 10° to 80°, most intense first:
| two_theta | Rel. int. |
| --- | --- |
| 39.2 | 100.0 |
| 33.8 | 58.9 |
| 56.6 | 57.6 |
| 67.6 | 22.4 |
| 71.0 | 17.5 |
| 42.9 | 1.5 |
| 32.3 | 0.9 |
| 51.7 | 0.8 |
| 73.6 | 0.5 |

Cell and atoms:
```
Sc2CO
1.0
1.6257 0.9386 5.3051
-1.6257 0.9386 5.3051
0.0000 -1.8772 5.3051
Sc C O
2 1 1
direct
0.2463 0.2463 0.2463
0.7537 0.7537 0.7537
0.5000 0.5000 0.5000
0.0000 0.0000 0.0000
```

***

Starting from a crystal structure in the Materials Project, relaxed with GGA-PBE, the PXRD pattern of Si4CO13 was calculated for λ = 1.5418 Å (Cu Kα).
Lines closer than 0.1° are merged.

Most intense lines, 2θ from 10° to 80°, most intense first:
| two_theta | Rel. int. |
| --- | --- |
| 14.5 | 100.0 |
| 16.1 | 90.3 |
| 22.6 | 25.1 |
| 31.7 | 15.2 |
| 40.9 | 14.9 |
| 27.1 | 14.7 |
| 21.1 | 12.3 |
| 27.4 | 11.4 |
| 33.8 | 10.4 |
| 29.8 | 9.8 |
| 23.0 | 8.9 |
| 22.9 | 8.6 |

Cell and atoms:
```
Si4CO13
1.0
6.2775 -6.5791 0.0000
6.2775 6.5791 0.0000
-1.9492 0.0000 7.8724
Si C O
8 2 26
direct
0.0882 0.3098 0.3222
0.1003 0.4516 0.6968
0.3098 0.0882 0.3222
0.4516 0.1003 0.6968
0.5484 0.8997 0.3032
0.6902 0.9118 0.6778
0.8997 0.5484 0.3032
0.9118 0.6902 0.6778
0.1782 0.1782 0.8609
0.8218 0.8218 0.1391
0.0399 0.8167 0.7899
0.0595 0.4784 0.2762
0.0742 0.3256 0.5259
0.0896 0.2683 0.8601
0.1581 0.7475 0.9617
0.1833 0.9601 0.2101
0.2525 0.8419 0.0383
0.2526 0.5263 0.7908
0.2557 0.2557 0.3005
0.2683 0.0896 0.8601
0.3256 0.0742 0.5259
0.4737 0.7474 0.2092
0.4784 0.0595 0.2762
0.5216 0.9405 0.7238
0.5263 0.2526 0.7908
0.6744 0.9258 0.4741
0.7317 0.9104 0.1399
0.7443 0.7443 0.6995
0.7474 0.4737 0.2092
0.7475 0.1581 0.9617
0.8167 0.0399 0.7899
0.8419 0.2525 0.0383
0.9104 0.7317 0.1399
0.9258 0.6744 0.4741
0.9405 0.5216 0.7238
0.9601 0.1833 0.2101
```

***

Starting from a crystal structure in the Materials Project, relaxed with GGA-PBE, the PXRD pattern of SiC2O2 was calculated for λ = 1.5418 Å (Cu Kα).
Lines closer than 0.1° are merged.

Most intense lines, 2θ from 10° to 80°, most intense first:
| two_theta | Rel. int. |
| --- | --- |
| 31.6 | 100.0 |
| 13.9 | 64.9 |
| 25.3 | 47.4 |
| 45.8 | 30.4 |
| 38.0 | 30.1 |
| 40.9 | 14.8 |
| 65.9 | 11.0 |
| 68.3 | 9.9 |
| 37.4 | 9.3 |
| 60.1 | 8.5 |
| 44.1 | 7.4 |
| 29.0 | 7.1 |

Cell and atoms:
```
SiC2O2
1.0
-1.4520 3.5161 6.3924
1.4520 -3.5161 6.3924
1.4520 3.5161 -6.3924
Si C O
2 4 4
direct
0.1229 0.1229 0.0000
0.8771 0.8771 0.0000
0.3567 0.0000 0.3567
0.4169 0.9169 0.5000
0.5831 0.0831 0.5000
0.6433 0.0000 0.6433
0.1652 0.0000 0.1652
0.3198 0.8198 0.5000
0.6802 0.1802 0.5000
0.8348 0.0000 0.8348
```